Computed X-ray diffraction stick pattern of K for Cu Kα (weighted mean of Kα1 and Kα2), from a structure optimized by DFT (PBE).

Cell and atoms:
Cell lengths 12.849, 9.071, 10.114 Å; angles 90.00, 90.00, 90.00 degrees
Space group Cmce (No. 64)
Symmetry-distinct sites (fractional):
K 0.000 0.237 0.236 x8
K 0.246 0.000 0.500 x8

Top 10 peaks for 10 to 90 degrees two-theta, in order of rising 2θ:
index  Position (°2θ)  I (rel.)
2 0 2  22.4  100.0
2 2 0  24.0  83.4
0 2 2  26.4  64.1
4 0 0  27.8  28.5
0 0 4  35.5  13.3
4 2 2  38.7  41.6
2 2 4  43.3  28.7
4 0 4  45.7  11.8
6 0 2  46.1  34.7
6 2 0  46.9  11.2